Diffraction record for RbMgTiI6. The PXRD pattern is simulated, not measured: it uses a crystal structure in Alexandria, relaxed with PBE and Cu Kα X-rays.
Lines closer than 0.1° are merged.

Principal peaks in the range 10 to 90 degrees two-theta, most intense first:
| 2θ/deg | d [Å] | I/Imax | index |
| --- | --- | --- | --- |
| 26.10 | 3.414 | 100 | 2 -1 2 |
| 32.24 | 2.776 | 54 | 1 1 4 |
| 41.72 | 2.165 | 24 | 3 0 0 |
| 10.71 | 8.262 | 19 | 0 0 2 |
| 17.37 | 5.106 | 18 | 1 0 2 |
| 40.65 | 2.220 | 17 | 2 -1 6 |
| 50.44 | 1.809 | 16 | 2 -1 8 |
| 21.51 | 4.131 | 15 | 0 0 4 |
| 38.25 | 2.353 | 13 | 2 1 2 |
| 49.88 | 1.828 | 12 | 2 2 2 |

Structure:
Unit cell a=7.499 b=7.499 c=16.523 alpha=90.00 beta=90.00 gamma=120.00
Atoms (fractional coordinates):
Rb: 0.000 0.000 0.000
Rb: 0.000 0.000 0.500
Mg: 0.333 0.667 0.250
Mg: 0.667 0.333 0.750
Ti: 0.333 0.667 0.750
Ti: 0.667 0.333 0.250
I: 0.010 0.377 0.650
I: 0.010 0.633 0.850
I: 0.367 0.377 0.850
I: 0.367 0.990 0.650
I: 0.377 0.010 0.150
I: 0.377 0.367 0.350
I: 0.623 0.633 0.650
I: 0.623 0.990 0.850
I: 0.633 0.010 0.350
I: 0.633 0.623 0.150
I: 0.990 0.367 0.150
I: 0.990 0.623 0.350